Entry 1:
For Li2NpRhO6, a crystal structure in Alexandria, relaxed with PBE gives the theoretical XRD peak list in this record (CuKα).

Main lines, by intensity (2θ from 10° to 90°):
two_theta, intensity
23.41, 100.0
33.12, 71.9
23.10, 52.6
58.69, 27.3
53.79, 21.8
32.77, 20.0
47.87, 18.2
19.92, 18.1
20.37, 17.6
33.90, 16.1
40.47, 15.5
53.29, 13.0

Structural model:
abc: 5.289 5.466 9.330
angles: 90.00 124.36 90.00
Fractional coordinates of all 20 atoms:
Li1 0.248 0.026 0.253
Li2 0.248 0.474 0.753
Li3 0.752 0.526 0.247
Li4 0.752 0.974 0.747
Np1 0.500 0.000 0.000
Np2 0.500 0.500 0.500
Rh1 0.000 0.000 0.500
Rh2 0.000 0.500 0.000
O1 0.128 0.052 0.748
O2 0.128 0.448 0.248
O3 0.241 0.686 0.563
O4 0.241 0.814 0.063
O5 0.382 0.182 0.560
O6 0.382 0.318 0.060
O7 0.618 0.682 0.940
O8 0.618 0.818 0.440
O9 0.759 0.186 0.937
O10 0.759 0.314 0.437
O11 0.872 0.552 0.752
O12 0.872 0.948 0.252

=====

Entry 2:
For Li2NpScO4, a crystal structure in Alexandria, relaxed with PBE gives the theoretical XRD peak list in this record (CuKα).

Main lines, by intensity (2θ from 10° to 90°):
two_theta, intensity
22.06, 100.0
34.06, 61.9
46.88, 28.3
18.09, 23.9
40.83, 23.5
54.22, 17.3
56.01, 17.1
28.56, 16.9
36.64, 15.3
70.00, 13.2
50.92, 12.0
67.23, 10.5

Structural model:
abc: 4.420 4.420 9.810
angles: 90.00 90.00 90.00
Fractional coordinates of all 16 atoms:
Li1 0.000 0.000 0.000
Li2 0.000 0.500 0.250
Li3 0.500 0.000 0.750
Li4 0.500 0.500 0.500
Np1 0.000 0.000 0.500
Np2 0.500 0.500 0.000
Sc1 0.000 0.500 0.750
Sc2 0.500 0.000 0.250
O1 0.000 0.000 0.258
O2 0.000 0.000 0.742
O3 0.000 0.500 0.528
O4 0.000 0.500 0.972
O5 0.500 0.000 0.028
O6 0.500 0.000 0.472
O7 0.500 0.500 0.242
O8 0.500 0.500 0.758

=====

Entry 3:
For LiNpScO5, a crystal structure in Alexandria, relaxed with PBE gives the theoretical XRD peak list in this record (CuKα).

Main lines, by intensity (2θ from 10° to 90°):
two_theta, intensity
17.86, 100.0
25.48, 76.0
19.58, 50.9
32.23, 41.2
33.27, 27.9
30.10, 25.0
43.34, 20.0
36.17, 19.0
36.06, 17.9
36.35, 17.8
47.75, 17.6
25.34, 15.5

Structural model:
abc: 5.584 5.584 7.720
angles: 103.99 103.99 108.53
Fractional coordinates of all 16 atoms:
Li1 0.189 0.811 0.750
Li2 0.811 0.189 0.250
Np1 0.500 0.500 0.000
Np2 0.500 0.500 0.500
Sc1 0.136 0.864 0.250
Sc2 0.864 0.136 0.750
O1 0.127 0.210 0.431
O2 0.175 0.527 0.844
O3 0.210 0.127 0.931
O4 0.374 0.626 0.250
O5 0.473 0.825 0.656
O6 0.527 0.175 0.344
O7 0.626 0.374 0.750
O8 0.790 0.873 0.069
O9 0.825 0.473 0.156
O10 0.873 0.790 0.569

=====

Entry 4:
For Li2NpSiO6, a crystal structure in Alexandria, relaxed with PBE gives the theoretical XRD peak list in this record (CuKα).

Main lines, by intensity (2θ from 10° to 90°):
two_theta, intensity
23.65, 100.0
16.67, 96.5
20.87, 68.0
26.83, 66.5
31.75, 62.5
43.58, 44.5
37.82, 32.4
33.70, 28.2
49.19, 28.0
48.40, 22.9
59.05, 22.8
53.25, 21.1

Structural model:
abc: 5.320 5.320 4.256
angles: 90.00 90.00 90.00
Fractional coordinates of all 10 atoms:
Li1 0.000 0.500 0.000
Li2 0.500 0.000 0.000
Np1 0.000 0.000 0.671
Si1 0.500 0.500 0.610
O1 0.000 0.000 0.182
O2 0.270 0.270 0.719
O3 0.270 0.730 0.719
O4 0.500 0.500 0.232
O5 0.730 0.270 0.719
O6 0.730 0.730 0.719

=====

Entry 5:
For SrLiNpO6, a crystal structure in Alexandria, relaxed with PBE gives the theoretical XRD peak list in this record (CuKα).

Main lines, by intensity (2θ from 10° to 90°):
two_theta, intensity
19.05, 100.0
24.07, 78.9
31.25, 62.0
47.07, 54.0
17.28, 37.4
29.78, 34.7
59.54, 28.9
39.53, 26.6
80.84, 20.0
34.30, 17.4
38.65, 15.2
49.29, 14.5

Structural model:
abc: 5.229 5.229 10.263
angles: 90.00 90.00 90.00
Fractional coordinates of all 18 atoms:
Sr1 0.000 0.000 0.000
Sr2 0.500 0.500 0.500
Li1 0.000 0.000 0.343
Li2 0.500 0.500 0.843
Np1 0.000 0.000 0.656
Np2 0.500 0.500 0.156
O1 0.170 0.170 0.508
O2 0.190 0.190 0.792
O3 0.235 0.235 0.170
O4 0.265 0.735 0.670
O5 0.310 0.690 0.292
O6 0.330 0.670 0.008
O7 0.670 0.330 0.008
O8 0.690 0.310 0.292
O9 0.735 0.265 0.670
O10 0.765 0.765 0.170
O11 0.810 0.810 0.792
O12 0.830 0.830 0.508

=====

Entry 6:
For SrLi2NpO4, a crystal structure in Alexandria, relaxed with PBE gives the theoretical XRD peak list in this record (CuKα).

Main lines, by intensity (2θ from 10° to 90°):
two_theta, intensity
21.05, 100.0
31.97, 40.7
45.36, 27.4
30.63, 27.1
39.70, 24.2
31.30, 19.7
51.40, 19.3
15.50, 17.3
44.36, 17.0
50.95, 14.3
61.03, 13.0
56.13, 11.9

Structural model:
abc: 4.541 4.541 11.431
angles: 90.00 90.00 90.00
Fractional coordinates of all 16 atoms:
Sr1 0.000 0.000 0.000
Sr2 0.500 0.500 0.500
Li1 0.000 0.000 0.500
Li2 0.000 0.500 0.250
Li3 0.500 0.000 0.750
Li4 0.500 0.500 0.000
Np1 0.000 0.500 0.750
Np2 0.500 0.000 0.250
O1 0.000 0.000 0.238
O2 0.000 0.000 0.762
O3 0.000 0.500 0.559
O4 0.000 0.500 0.941
O5 0.500 0.000 0.059
O6 0.500 0.000 0.441
O7 0.500 0.500 0.262
O8 0.500 0.500 0.738